Structure and computed powder diffraction line list of Mg6CrMo (DFT lattice parameters and positions (PBE); Cu Kα (λ = 1.5418 Å)).
No peak broadening, texture or thermal motion is included.

Atomic structure:
```
data_Mg6CrMo
_chemical_formula_sum 'Mg12 Cr2 Mo2'
_symmetry_space_group_name_H-M 'A m m 2'
_symmetry_Int_Tables_number 38
_cell_length_a 4.7589
_cell_length_b 5.9581
_cell_length_c 11.0037
_cell_angle_alpha 90.00
_cell_angle_beta 90.00
_cell_angle_gamma 90.00
loop_
_symmetry_equiv_pos_as_xyz
'x,y,z'
'-x,-y,z'
'-x,y,z'
'x,-y,z'
'x,y+1/2,z+1/2'
'-x,-y+1/2,z+1/2'
'-x,y+1/2,z+1/2'
'x,-y+1/2,z+1/2'
loop_
_atom_site_label
_atom_site_type_symbol
_atom_site_fract_x
_atom_site_fract_y
_atom_site_fract_z
Mg1 Mg 0.0000 0.0000 0.0000
Mg2 Mg 0.0000 0.2391 0.2517
Mg3 Mg 0.5000 0.0000 0.8443
Mg4 Mg 0.5000 0.2447 0.5967
Cr1 Cr 0.0000 0.0000 0.4778
Mo1 Mo 0.5000 0.0000 0.3673
```

Peak list (10 most intense, 10° ≤ 2θ ≤ 90°, most intense first)
| two_theta | d/Å | I_rel |
| --- | --- | --- |
| 37.79 | 2.381 | 100 |
| 39.26 | 2.295 | 70 |
| 16.92 | 5.239 | 59 |
| 34.23 | 2.620 | 42 |
| 16.11 | 5.502 | 28 |
| 51.91 | 1.761 | 24 |
| 75.25 | 1.263 | 23 |
| 48.05 | 1.894 | 15 |
| 34.34 | 2.611 | 14 |
| 69.24 | 1.357 | 12 |

=====

Structure and computed powder diffraction line list of Mg6CrMo (DFT lattice parameters and positions (PBE); Cu Kα (λ = 1.5418 Å)).
No peak broadening, texture or thermal motion is included.

Atomic structure:
```
data_Mg6CrMo
_chemical_formula_sum 'Mg12 Cr2 Mo2'
_symmetry_space_group_name_H-M 'A m m 2'
_symmetry_Int_Tables_number 38
_cell_length_a 4.9139
_cell_length_b 5.8673
_cell_length_c 10.8869
_cell_angle_alpha 90.00
_cell_angle_beta 90.00
_cell_angle_gamma 90.00
loop_
_symmetry_equiv_pos_as_xyz
'x,y,z'
'-x,-y,z'
'-x,y,z'
'x,-y,z'
'x,y+1/2,z+1/2'
'-x,-y+1/2,z+1/2'
'-x,y+1/2,z+1/2'
'x,-y+1/2,z+1/2'
loop_
_atom_site_label
_atom_site_type_symbol
_atom_site_fract_x
_atom_site_fract_y
_atom_site_fract_z
Mg1 Mg 0.0000 0.0000 0.0000
Mg2 Mg 0.0000 0.0000 0.4976
Mg3 Mg 0.0000 0.2435 0.7631
Mg4 Mg 0.5000 0.2500 0.1017
Cr1 Cr 0.5000 0.0000 0.3482
Mo1 Mo 0.5000 0.0000 0.8534
```

Peak list (10 most intense, 10° ≤ 2θ ≤ 90°, most intense first)
| two_theta | d/Å | I_rel |
| --- | --- | --- |
| 39.42 | 2.286 | 100 |
| 37.78 | 2.381 | 69 |
| 36.57 | 2.457 | 44 |
| 16.28 | 5.443 | 42 |
| 34.74 | 2.582 | 40 |
| 18.05 | 4.914 | 28 |
| 51.33 | 1.780 | 25 |
| 24.40 | 3.648 | 23 |
| 72.30 | 1.307 | 20 |
| 67.74 | 1.383 | 19 |

=====

Structure and computed powder diffraction line list of Mg2Cr3MoS8 (DFT lattice parameters and positions (PBE); Cu Kα (λ = 1.5418 Å)).
No peak broadening, texture or thermal motion is included.

Atomic structure:
```
data_Mg2Cr3MoS8
_chemical_formula_sum 'Mg6 Cr9 Mo3 S24'
_symmetry_space_group_name_H-M 'R -3 m'
_symmetry_Int_Tables_number 166
_symmetry_space_group_name_Hall '-R 3 2"'
_cell_length_a 7.2497
_cell_length_b 7.2497
_cell_length_c 17.9517
_cell_angle_alpha 90.00
_cell_angle_beta 90.00
_cell_angle_gamma 120.00
loop_
_atom_site_label
_atom_site_type_symbol
_atom_site_fract_x
_atom_site_fract_y
_atom_site_fract_z
Mg1 Mg 0.0000 0.0000 0.1261
Cr1 Cr 0.0000 0.5000 0.0000
Mo1 Mo 0.0000 0.0000 0.5000
S1 S 0.0000 0.0000 0.2635
S2 S 0.0305 0.5153 0.2567
```

Peak list (10 most intense, 10° ≤ 2θ ≤ 90°, most intense first)
| two_theta | d/Å | I_rel |
| --- | --- | --- |
| 34.88 | 2.572 | 100 |
| 14.95 | 5.926 | 84 |
| 28.80 | 3.100 | 58 |
| 50.35 | 1.812 | 47 |
| 49.96 | 1.826 | 46 |
| 45.84 | 1.980 | 26 |
| 28.64 | 3.117 | 25 |
| 45.94 | 1.975 | 16 |
| 62.71 | 1.482 | 14 |
| 73.65 | 1.286 | 12 |

=====

Structure and computed powder diffraction line list of MgCrN2 (DFT lattice parameters and positions (PBE); Cu Kα (λ = 1.5418 Å)).
No peak broadening, texture or thermal motion is included.

Atomic structure:
```
data_MgCrN2
_chemical_formula_sum 'Mg4 Cr4 N8'
_symmetry_space_group_name_H-M 'P n a 21'
_symmetry_Int_Tables_number 33
_cell_length_a 5.6509
_cell_length_b 6.5627
_cell_length_c 5.1353
_cell_angle_alpha 90.00
_cell_angle_beta 90.00
_cell_angle_gamma 90.00
loop_
_symmetry_equiv_pos_as_xyz
'x,y,z'
'-x,-y,z+1/2'
'-x+1/2,y+1/2,z+1/2'
'x+1/2,-y+1/2,z'
loop_
_atom_site_label
_atom_site_type_symbol
_atom_site_fract_x
_atom_site_fract_y
_atom_site_fract_z
Mg1 Mg 0.0917 0.1226 0.0000
Cr1 Cr 0.0749 0.6286 0.0093
N1 N 0.0591 0.6045 0.3685
N2 N 0.1047 0.1435 0.4151
```

Peak list (10 most intense, 10° ≤ 2θ ≤ 90°, most intense first)
| two_theta | d/Å | I_rel |
| --- | --- | --- |
| 36.17 | 2.484 | 100 |
| 34.94 | 2.568 | 69 |
| 31.53 | 2.838 | 65 |
| 63.49 | 1.465 | 51 |
| 36.29 | 2.476 | 44 |
| 56.32 | 1.634 | 40 |
| 21.98 | 4.044 | 40 |
| 47.81 | 1.903 | 38 |
| 31.67 | 2.825 | 38 |
| 20.74 | 4.282 | 33 |

=====

Structure and computed powder diffraction line list of Mg2CrWN4 (DFT lattice parameters and positions (PBE); Cu Kα (λ = 1.5418 Å)).
No peak broadening, texture or thermal motion is included.

Atomic structure:
```
data_Mg2CrWN4
_chemical_formula_sum 'Mg4 Cr2 W2 N8'
_symmetry_space_group_name_H-M 'I -4 2 m'
_symmetry_Int_Tables_number 121
_symmetry_space_group_name_Hall 'I -4 2'
_cell_length_a 4.7087
_cell_length_b 4.7087
_cell_length_c 9.3558
_cell_angle_alpha 90.00
_cell_angle_beta 90.00
_cell_angle_gamma 90.00
loop_
_atom_site_label
_atom_site_type_symbol
_atom_site_fract_x
_atom_site_fract_y
_atom_site_fract_z
Mg1 Mg 0.0000 0.5000 0.2500
Cr1 Cr 0.0000 0.0000 0.0000
W1 W 0.0000 0.0000 0.5000
N1 N 0.2365 0.2365 0.3862
```

Peak list (10 most intense, 10° ≤ 2θ ≤ 90°, most intense first)
| two_theta | d/Å | I_rel |
| --- | --- | --- |
| 33.02 | 2.713 | 100 |
| 21.12 | 4.206 | 59 |
| 18.97 | 4.678 | 42 |
| 26.78 | 3.330 | 34 |
| 55.37 | 1.659 | 28 |
| 65.82 | 1.419 | 26 |
| 38.23 | 2.354 | 22 |
| 43.01 | 2.103 | 18 |
| 44.08 | 2.054 | 17 |
| 34.50 | 2.600 | 16 |

=====

Structure and computed powder diffraction line list of MgZn2CrN4 (DFT lattice parameters and positions (PBE); Cu Kα (λ = 1.5418 Å)).
No peak broadening, texture or thermal motion is included.

Atomic structure:
```
data_MgZn2CrN4
_chemical_formula_sum 'Mg2 Zn4 Cr2 N8'
_symmetry_space_group_name_H-M 'P m n 21'
_symmetry_Int_Tables_number 31
_cell_length_a 6.4918
_cell_length_b 5.5719
_cell_length_c 5.2681
_cell_angle_alpha 90.00
_cell_angle_beta 90.00
_cell_angle_gamma 90.00
loop_
_symmetry_equiv_pos_as_xyz
'x,y,z'
'-x+1/2,-y,z+1/2'
'-x,y,z'
'x+1/2,-y,z+1/2'
loop_
_atom_site_label
_atom_site_type_symbol
_atom_site_fract_x
_atom_site_fract_y
_atom_site_fract_z
Mg1 Mg 0.0000 0.1550 0.0000
Zn1 Zn 0.2467 0.3307 0.5072
Cr1 Cr 0.0000 0.8235 0.5052
N1 N 0.0000 0.1248 0.4016
N2 N 0.0000 0.8137 0.8362
N3 N 0.2234 0.6774 0.3923
```

Peak list (10 most intense, 10° ≤ 2θ ≤ 90°, most intense first)
| two_theta | d/Å | I_rel |
| --- | --- | --- |
| 36.29 | 2.476 | 100 |
| 34.04 | 2.634 | 56 |
| 31.91 | 2.805 | 47 |
| 36.48 | 2.463 | 45 |
| 62.39 | 1.488 | 32 |
| 57.14 | 1.612 | 30 |
| 32.13 | 2.786 | 26 |
| 68.20 | 1.375 | 25 |
| 47.35 | 1.920 | 20 |
| 56.72 | 1.623 | 16 |